Entry 1:
# PrDy7Tm12
Computed powder XRD pattern, a wavelength of 1.5418 Å. Input: a GGA-PBE-relaxed structure.
Intensities are scaled so that the largest is 100.

Most intense lines, 2θ from 15° to 90°, low angle first:
| Position (°2θ) | Rel. int. | (hkl) |
| --- | --- | --- |
| 15.9 | 24 | 2 0 0 |
| 22.6 | 16 | 2 2 0 |
| 27.7 | 72 | 2 2 2 |
| 32.1 | 100 | 4 0 0 |
| 36.0 | 13 | 4 2 0 |
| 46.1 | 73 | 4 4 0 |
| 54.6 | 32 | 6 2 2 |
| 57.3 | 25 | 4 4 4 |
| 76.4 | 32 | 8 4 0 |
| 85.3 | 24 | 8 4 4 |

Crystal structure
```
data_PrDy7Tm12
_cell_length_a 11.149
_cell_length_b 11.149
_cell_length_c 11.149
_cell_angle_alpha 90.00
_cell_angle_beta 90.00
_cell_angle_gamma 90.00
_space_group_name_H-M_alt 'I m -3 m'
_space_group_IT_number 229
_space_group_name_Hall '-I 4 2 3'
loop_
_atom_site_label
_atom_site_fract_x
_atom_site_fract_y
_atom_site_fract_z
_atom_site_occupancy
Pr1 0.000 0.000 0.000 1
Dy1 0.000 0.000 0.500 1
Dy2 0.250 0.250 0.250 1
Tm1 0.000 0.256 0.256 1
```


Entry 2:
# Pr2Dy3Tm2
Computed powder XRD pattern, a wavelength of 1.5418 Å. Input: a GGA-PBE-relaxed structure.
Intensities are scaled so that the largest is 100.

Most intense lines, 2θ from 15° to 90°, low angle first:
| Position (°2θ) | Rel. int. | (hkl) |
| --- | --- | --- |
| 25.6 | 18 | 1 2 1 |
| 29.3 | 65 | 2 1 1 |
| 31.5 | 74 | 1 3 1 |
| 32.6 | 100 | 2 2 1 |
| 32.7 | 59 | 0 0 2 |
| 35.6 | 17 | 3 1 0 |
| 38.4 | 19 | 3 0 1 |
| 42.6 | 20 | 1 5 0 |
| 54.7 | 19 | 1 5 2 |
| 58.3 | 18 | 2 2 3 |

Crystal structure
```
data_Pr2Dy3Tm2
_cell_length_a 7.783
_cell_length_b 11.021
_cell_length_c 5.478
_cell_angle_alpha 90.00
_cell_angle_beta 90.00
_cell_angle_gamma 90.00
_space_group_name_H-M_alt 'P n n m'
_space_group_IT_number 58
_space_group_name_Hall '-P 2 2n'
loop_
_atom_site_label
_atom_site_fract_x
_atom_site_fract_y
_atom_site_fract_z
_atom_site_occupancy
Pr1 0.194 0.191 0.000 1
Dy1 0.000 0.000 0.500 1
Dy2 0.180 0.399 0.500 1
Tm1 0.116 0.610 0.000 1
```


Entry 3:
# Pr16Dy7Tm6
Computed powder XRD pattern, a wavelength of 1.5418 Å. Input: a GGA-PBE-relaxed structure.
Intensities are scaled so that the largest is 100.

Most intense lines, 2θ from 15° to 90°, low angle first:
| Position (°2θ) | Rel. int. | (hkl) |
| --- | --- | --- |
| 15.6 | 5 | 2 2 0 |
| 27.2 | 6 | 4 2 2 |
| 28.9 | 7 | 3 3 3 |
| 31.5 | 100 | 4 4 0 |
| 35.4 | 5 | 6 2 0 |
| 43.3 | 5 | 7 3 1 |
| 45.2 | 15 | 8 0 0 |
| 56.1 | 29 | 8 4 4 |
| 65.8 | 8 | 8 8 0 |
| 74.8 | 9 | 12 4 0 |

Crystal structure
```
data_Pr16Dy7Tm6
_cell_length_a 16.056
_cell_length_b 16.056
_cell_length_c 16.056
_cell_angle_alpha 90.00
_cell_angle_beta 90.00
_cell_angle_gamma 90.00
_space_group_name_H-M_alt 'F m -3 m'
_space_group_IT_number 225
_space_group_name_Hall '-F 4 2 3'
loop_
_atom_site_label
_atom_site_fract_x
_atom_site_fract_y
_atom_site_fract_z
_atom_site_occupancy
Pr1 0.125 0.125 0.125 1
Pr2 0.148 0.148 0.352 1
Dy1 0.000 0.000 0.000 1
Dy2 0.000 0.250 0.250 1
Tm1 0.000 0.000 0.262 1
```


Entry 4:
# Pr4DyTm2
Computed powder XRD pattern, a wavelength of 1.5418 Å. Input: a GGA-PBE-relaxed structure.
Intensities are scaled so that the largest is 100.

Most intense lines, 2θ from 15° to 90°, low angle first:
| Position (°2θ) | Rel. int. | (hkl) |
| --- | --- | --- |
| 29.7 | 11 | 4 0 0 |
| 30.0 | 100 | 1 7 1 |
| 30.6 | 30 | 4 2 0 |
| 31.3 | 64 | 2 0 2 |
| 32.0 | 32 | 3 5 1 |
| 32.2 | 23 | 2 2 2 |
| 36.9 | 27 | 3 7 1 |
| 50.2 | 20 | 1 7 3 |
| 54.8 | 16 | 2 14 0 |
| 60.3 | 14 | 0 14 2 |

Crystal structure
```
data_Pr4DyTm2
_cell_length_a 12.042
_cell_length_b 24.406
_cell_length_c 6.486
_cell_angle_alpha 90.00
_cell_angle_beta 90.00
_cell_angle_gamma 90.00
_space_group_name_H-M_alt 'F d d 2'
_space_group_IT_number 43
_space_group_name_Hall 'F 2 -2d'
loop_
_atom_site_label
_atom_site_fract_x
_atom_site_fract_y
_atom_site_fract_z
_atom_site_occupancy
Pr1 0.052 0.071 0.000 1
Pr2 0.069 0.144 0.530 1
Dy1 0.000 0.000 0.496 1
Tm1 0.024 0.217 0.054 1
```


Entry 5:
# Pr3Dy3Tm
Computed powder XRD pattern, a wavelength of 1.5418 Å. Input: a GGA-PBE-relaxed structure.
Intensities are scaled so that the largest is 100.

Most intense lines, 2θ from 15° to 90°, low angle first:
| Position (°2θ) | Rel. int. | (hkl) |
| --- | --- | --- |
| 23.8 | 30 | 2 -1 3 |
| 28.7 | 37 | 0 2 4 |
| 30.9 | 36 | 1 0 7 |
| 31.6 | 100 | 2 1 1 |
| 31.9 | 93 | 2 -1 6 |
| 32.4 | 49 | 1 2 2 |
| 37.6 | 20 | 1 2 5 |
| 52.6 | 25 | 1 3 7 |
| 55.8 | 18 | 1 4 0 |
| 56.9 | 18 | 4 0 7 |

Crystal structure
```
data_Pr3Dy3Tm
_cell_length_a 8.7181
_cell_length_b 8.7181
_cell_length_c 21.9477
_cell_angle_alpha 90.00
_cell_angle_beta 90.00
_cell_angle_gamma 120.00
_space_group_name_H-M_alt 'R -3'
_space_group_IT_number 148
_space_group_name_Hall '-R 3'
loop_
_atom_site_label
_atom_site_fract_x
_atom_site_fract_y
_atom_site_fract_z
_atom_site_occupancy
Pr1 0.0052 0.2437 0.0589 1
Dy1 0.0565 0.4499 0.8802 1
Tm1 0.0000 0.0000 0.3477 1
```


Entry 6:
# Pr3Dy4Tm8
Computed powder XRD pattern, a wavelength of 1.5418 Å. Input: a GGA-PBE-relaxed structure.
Intensities are scaled so that the largest is 100.

Most intense lines, 2θ from 15° to 90°, low angle first:
| Position (°2θ) | Rel. int. | (hkl) |
| --- | --- | --- |
| 27.8 | 35 | 0 4 0 |
| 30.9 | 100 | 4 0 -2 |
| 31.0 | 48 | 4 0 0 |
| 31.9 | 30 | 2 4 -1 |
| 38.9 | 13 | 2 4 1 |
| 42.0 | 46 | 4 4 -2 |
| 42.1 | 23 | 4 4 0 |
| 62.9 | 13 | 8 4 -2 |
| 66.6 | 21 | 4 8 -2 |
| 66.7 | 10 | 4 8 0 |

Crystal structure
```
data_Pr3Dy4Tm8
_cell_length_a 13.315
_cell_length_b 12.842
_cell_length_c 6.696
_cell_angle_alpha 90.00
_cell_angle_beta 120.08
_cell_angle_gamma 90.00
_space_group_name_H-M_alt 'C 1 2/m 1'
_space_group_IT_number 12
_space_group_name_Hall '-C 2y'
loop_
_atom_site_label
_atom_site_fract_x
_atom_site_fract_y
_atom_site_fract_z
_atom_site_occupancy
Pr1 0.000 0.000 0.000 1
Pr2 0.250 0.250 0.000 1
Dy1 0.000 0.500 0.000 1
Dy2 0.000 0.500 0.500 1
Dy3 0.250 0.250 0.500 1
Tm1 0.000 0.138 0.500 1
Tm2 0.000 0.247 0.000 1
Tm3 0.235 0.000 0.975 1
Tm4 0.237 0.000 0.496 1
```


Entry 7:
# Pr4Dy2Tm
Computed powder XRD pattern, a wavelength of 1.5418 Å. Input: a GGA-PBE-relaxed structure.
Intensities are scaled so that the largest is 100.

Most intense lines, 2θ from 15° to 90°, low angle first:
| Position (°2θ) | Rel. int. | (hkl) |
| --- | --- | --- |
| 29.6 | 11 | 4 0 0 |
| 30.0 | 100 | 1 7 1 |
| 30.5 | 30 | 4 2 0 |
| 31.3 | 64 | 2 0 2 |
| 31.9 | 32 | 3 5 1 |
| 32.1 | 23 | 2 2 2 |
| 36.8 | 27 | 3 7 1 |
| 50.1 | 20 | 1 7 3 |
| 54.8 | 15 | 2 14 0 |
| 60.2 | 14 | 0 14 2 |

Crystal structure
```
data_Pr4Dy2Tm
_cell_length_a 12.071
_cell_length_b 24.432
_cell_length_c 6.502
_cell_angle_alpha 90.00
_cell_angle_beta 90.00
_cell_angle_gamma 90.00
_space_group_name_H-M_alt 'F d d 2'
_space_group_IT_number 43
_space_group_name_Hall 'F 2 -2d'
loop_
_atom_site_label
_atom_site_fract_x
_atom_site_fract_y
_atom_site_fract_z
_atom_site_occupancy
Pr1 0.052 0.430 0.000 1
Pr2 0.069 0.356 0.469 1
Dy1 0.024 0.284 0.946 1
Tm1 0.000 0.000 0.003 1
```


Entry 8:
# Pr2Dy3Tm8
Computed powder XRD pattern, a wavelength of 1.5418 Å. Input: a GGA-PBE-relaxed structure.
Intensities are scaled so that the largest is 100.

Most intense lines, 2θ from 15° to 90°, low angle first:
| Position (°2θ) | Rel. int. | (hkl) |
| --- | --- | --- |
| 25.0 | 16 | 2 2 0 |
| 29.5 | 27 | 1 5 1 |
| 30.6 | 28 | 0 6 1 |
| 32.7 | 36 | 0 0 2 |
| 33.6 | 100 | 2 4 1 |
| 34.5 | 14 | 0 8 0 |
| 48.3 | 11 | 0 8 2 |
| 59.0 | 20 | 2 4 3 |
| 59.4 | 9 | 4 0 2 |
| 64.5 | 11 | 3 9 2 |

Crystal structure
```
data_Pr2Dy3Tm8
_cell_length_a 7.570
_cell_length_b 20.772
_cell_length_c 5.470
_cell_angle_alpha 90.00
_cell_angle_beta 90.00
_cell_angle_gamma 90.00
_space_group_name_H-M_alt 'C m m m'
_space_group_IT_number 65
_space_group_name_Hall '-C 2 2'
loop_
_atom_site_label
_atom_site_fract_x
_atom_site_fract_y
_atom_site_fract_z
_atom_site_occupancy
Pr1 0.000 0.240 0.000 1
Dy1 0.000 0.000 0.000 1
Dy2 0.212 0.500 0.500 1
Tm1 0.000 0.127 0.500 1
Tm2 0.000 0.340 0.500 1
Tm3 0.213 0.393 0.000 1
```


Entry 9:
# Pr2DyYTm5
Computed powder XRD pattern, a wavelength of 1.5418 Å. Input: a GGA-PBE-relaxed structure.
Intensities are scaled so that the largest is 100.

Most intense lines, 2θ from 15° to 90°, low angle first:
| Position (°2θ) | Rel. int. | (hkl) |
| --- | --- | --- |
| 28.9 | 49 | 2 1 3 |
| 29.4 | 53 | 2 2 0 |
| 31.0 | 100 | 2 0 4 |
| 35.0 | 17 | 3 1 2 |
| 38.2 | 16 | 3 2 1 |
| 46.6 | 11 | 0 0 8 |
| 47.0 | 12 | 4 1 3 |
| 48.4 | 12 | 3 1 6 |
| 53.2 | 23 | 4 2 4 |
| 56.0 | 12 | 2 2 8 |

Crystal structure
```
data_Pr2DyYTm5
_cell_length_a 8.590
_cell_length_b 8.590
_cell_length_c 15.604
_cell_angle_alpha 90.00
_cell_angle_beta 90.00
_cell_angle_gamma 90.00
_space_group_name_H-M_alt 'I 4/m c m'
_space_group_IT_number 140
_space_group_name_Hall '-I 4 2c'
loop_
_atom_site_label
_atom_site_fract_x
_atom_site_fract_y
_atom_site_fract_z
_atom_site_occupancy
Pr1 0.118 0.382 0.000 1
Dy1 0.000 0.500 0.250 1
Y1 0.000 0.000 0.250 1
Tm1 0.000 0.000 0.000 1
Tm2 0.213 0.287 0.359 1
```


Entry 10:
# Pr6Dy2YTm
Computed powder XRD pattern, a wavelength of 1.5418 Å. Input: a GGA-PBE-relaxed structure.
Intensities are scaled so that the largest is 100.

Most intense lines, 2θ from 15° to 90°, low angle first:
| Position (°2θ) | Rel. int. | (hkl) |
| --- | --- | --- |
| 27.5 | 22 | 2 2 -2 |
| 28.0 | 37 | 1 3 2 |
| 29.9 | 59 | 3 1 -1 |
| 30.2 | 68 | 0 2 3 |
| 30.4 | 39 | 1 5 0 |
| 30.8 | 100 | 2 2 2 |
| 31.5 | 21 | 1 5 -1 |
| 32.2 | 15 | 1 5 1 |
| 33.3 | 47 | 1 3 -3 |
| 34.0 | 15 | 2 2 -3 |

Crystal structure
```
data_Pr6Dy2YTm
_cell_length_a 9.301
_cell_length_b 15.488
_cell_length_c 9.696
_cell_angle_alpha 90.00
_cell_angle_beta 97.37
_cell_angle_gamma 90.00
_space_group_name_H-M_alt 'C 1 2/c 1'
_space_group_IT_number 15
_space_group_name_Hall '-C 2yc'
loop_
_atom_site_label
_atom_site_fract_x
_atom_site_fract_y
_atom_site_fract_z
_atom_site_occupancy
Pr1 0.059 0.178 0.447 1
Pr2 0.101 0.392 0.617 1
Pr3 0.214 0.222 0.810 1
Dy1 0.250 0.050 0.046 1
Y1 0.000 0.026 0.750 1
Tm1 0.000 0.413 0.250 1
```


Entry 11:
# PrDy2Y2Tm2
Computed powder XRD pattern, a wavelength of 1.5418 Å. Input: a GGA-PBE-relaxed structure.
Intensities are scaled so that the largest is 100.

Most intense lines, 2θ from 15° to 90°, low angle first:
| Position (°2θ) | Rel. int. | (hkl) |
| --- | --- | --- |
| 31.0 | 83 | 1 1 2 |
| 31.5 | 100 | 0 1 7 |
| 31.7 | 43 | 1 0 5 |
| 32.8 | 50 | 0 2 0 |
| 33.9 | 34 | 1 1 4 |
| 46.3 | 30 | 1 2 5 |
| 50.3 | 18 | 1 0 11 |
| 55.4 | 18 | 0 0 14 |
| 57.8 | 19 | 0 3 7 |
| 61.7 | 29 | 2 1 7 |

Crystal structure
```
data_PrDy2Y2Tm2
_cell_length_a 3.549
_cell_length_b 5.456
_cell_length_c 23.244
_cell_angle_alpha 90.00
_cell_angle_beta 90.00
_cell_angle_gamma 90.00
_space_group_name_H-M_alt 'I m m m'
_space_group_IT_number 71
_space_group_name_Hall '-I 2 2'
loop_
_atom_site_label
_atom_site_fract_x
_atom_site_fract_y
_atom_site_fract_z
_atom_site_occupancy
Pr1 0.000 0.000 0.000 1
Dy1 0.000 0.500 0.224 1
Y1 0.000 0.000 0.143 1
Tm1 0.000 0.000 0.420 1
```


Entry 12:
# Pr12DyY6
Computed powder XRD pattern, a wavelength of 1.5418 Å. Input: a GGA-PBE-relaxed structure.
Intensities are scaled so that the largest is 100.

Most intense lines, 2θ from 15° to 90°, low angle first:
| Position (°2θ) | Rel. int. | (hkl) |
| --- | --- | --- |
| 22.8 | 29 | 3 -1 1 |
| 30.2 | 53 | 0 1 5 |
| 30.6 | 32 | 0 3 3 |
| 30.8 | 100 | 4 -3 1 |
| 32.1 | 76 | 2 1 4 |
| 32.4 | 29 | 3 1 2 |
| 34.0 | 21 | 4 -2 3 |
| 43.8 | 17 | 3 2 4 |
| 53.7 | 19 | 2 5 0 |
| 56.6 | 15 | 1 5 5 |

Crystal structure
```
data_Pr12DyY6
_cell_length_a 12.3099
_cell_length_b 12.3099
_cell_length_c 15.4065
_cell_angle_alpha 90.00
_cell_angle_beta 90.00
_cell_angle_gamma 120.00
_space_group_name_H-M_alt 'R -3'
_space_group_IT_number 148
_space_group_name_Hall '-R 3'
loop_
_atom_site_label
_atom_site_fract_x
_atom_site_fract_y
_atom_site_fract_z
_atom_site_occupancy
Pr1 0.0014 0.1722 0.1919 1
Pr2 0.0484 0.1983 0.4164 1
Dy1 0.0000 0.0000 0.0000 1
Y1 0.0167 0.5885 0.6882 1
```